(1)
Diffraction record for Y2MnSi3Pt4. The powder XRD pattern is theoretical, not measured: it uses a GGA-PBE-relaxed structure and Cu Kα (λ = 1.5418 Å).
Intensities are scaled so that the largest is 100.

Largest 12 diffraction maxima, low angle first, 5 to 70 degrees two-theta:
d (Å)	2θ (°)	I (rel.)
3.399	26.22	34.2
3.223	27.67	35.4
2.826	31.66	64.8
2.632	34.06	35.6
2.548	35.22	100.0
2.080	43.51	62.4
1.927	47.18	46.0
1.831	49.79	28.0
1.774	51.51	22.9
1.632	56.38	16.6
1.471	63.21	27.5
1.375	68.23	19.8

Crystal structure
```
10
Lattice="4.160 0.000 0.000 0.000 4.160 0.000 0.000 0.000 10.198" Properties=species:S:1:pos:R:3 pbc="T T T"
Y 0.000 2.080 2.532
Y 2.080 0.000 7.666
Mn 2.080 2.080 0.000
Si 0.000 0.000 0.000
Si 0.000 2.080 6.453
Si 2.080 0.000 3.745
Pt 0.000 0.000 5.099
Pt 0.000 2.080 8.792
Pt 2.080 0.000 1.407
Pt 2.080 2.080 5.099
```

---

(2)
Diffraction record for KMgAgF4. The powder XRD pattern is theoretical, not measured: it uses a GGA-PBE-relaxed structure and Cu Kα (λ = 1.5418 Å).
Intensities are scaled so that the largest is 100.

Largest 12 diffraction maxima, low angle first, 5 to 70 degrees two-theta:
d (Å)	2θ (°)	I (rel.)
6.470	13.69	41.1
3.803	23.39	54.3
2.925	30.57	100.0
2.813	31.81	80.1
2.580	34.77	43.1
2.157	41.89	30.4
2.123	42.59	58.8
1.989	45.60	56.3
1.712	53.54	25.9
1.645	55.90	35.3
1.462	63.63	29.9
1.407	66.47	15.7

Crystal structure
```
7
Lattice="-1.989 1.989 6.470 1.989 -1.989 6.470 1.989 1.989 -6.470" Properties=species:S:1:pos:R:3 pbc="T T T"
K 0.000 0.000 0.000
Mg 0.000 0.000 8.440
Ag 0.000 0.000 3.912
F 1.989 0.000 1.953
F 0.000 0.000 6.358
F 0.000 1.989 1.953
F 0.000 0.000 10.426
```

---

(3)
Diffraction record for ZrSc3Zn8. The powder XRD pattern is theoretical, not measured: it uses a GGA-PBE-relaxed structure and Cu Kα (λ = 1.5418 Å).
Intensities are scaled so that the largest is 100.

Largest 12 diffraction maxima, low angle first, 5 to 70 degrees two-theta:
d (Å)	2θ (°)	I (rel.)
4.571	19.42	14.5
4.020	22.11	12.3
2.639	33.97	21.3
2.397	37.51	61.5
2.238	40.30	100.0
2.206	40.91	97.1
2.112	42.82	23.1
2.010	45.11	28.7
1.917	47.42	13.4
1.473	63.14	20.7
1.433	65.08	22.5
1.359	69.14	28.0

Crystal structure
```
12
Lattice="5.278 0.000 0.000 -2.639 4.571 0.000 0.000 0.000 8.448" Properties=species:S:1:pos:R:3 pbc="T T T"
Zr 0.000 0.000 0.000
Sc 0.000 0.000 3.122
Sc 2.639 1.524 4.236
Sc 2.639 1.524 7.427
Zn 0.000 1.480 5.813
Zn -1.357 3.830 5.813
Zn 0.000 3.047 3.716
Zn 0.000 3.047 7.932
Zn 2.639 0.038 1.586
Zn 1.352 2.267 1.586
Zn 1.357 3.830 5.813
Zn 3.926 2.267 1.586
```